1.
For PrCdGa4, a PBE-relaxed structure gives the simulated powder X-ray diffraction pattern in this record (a wavelength of 1.5418 Å).
Lines closer than 0.1° are merged.

The 8 most intense peaks (5 to 70 degrees two-theta), low angle first:
2θ = 29.6°, I = 312
2θ = 31.3°, I = 1000
2θ = 31.4°, I = 563
2θ = 33.3°, I = 496
2θ = 35.3°, I = 605
2θ = 36.1°, I = 311
2θ = 43.7°, I = 438
2θ = 58.0°, I = 172

Structural model:
a = 8.1730 Å, b = 15.6885 Å, c = 4.1384 Å
α = 90.00°, β = 90.00°, γ = 90.00°
Fractional coordinates of all 24 atoms:
Pr (0.1288, 0.1495, 0.0000)
Pr (0.3712, 0.6495, 0.0000)
Pr (0.6288, 0.3505, 0.0000)
Pr (0.8712, 0.8505, 0.0000)
Cd (0.1399, 0.4100, 0.0000)
Cd (0.3601, 0.9100, 0.0000)
Cd (0.6399, 0.0900, 0.0000)
Cd (0.8601, 0.5900, 0.0000)
Ga (0.0138, 0.6969, 0.5000)
Ga (0.1185, 0.5505, 0.5000)
Ga (0.1290, 0.9650, 0.5000)
Ga (0.2066, 0.8106, 0.5000)
Ga (0.2934, 0.3106, 0.5000)
Ga (0.3710, 0.4650, 0.5000)
Ga (0.3815, 0.0505, 0.5000)
Ga (0.4862, 0.1969, 0.5000)
Ga (0.5138, 0.8031, 0.5000)
Ga (0.6185, 0.9495, 0.5000)
Ga (0.6290, 0.5350, 0.5000)
Ga (0.7066, 0.6894, 0.5000)
Ga (0.7934, 0.1894, 0.5000)
Ga (0.8710, 0.0350, 0.5000)
Ga (0.8815, 0.4495, 0.5000)
Ga (0.9862, 0.3031, 0.5000)

***

2.
For CdInPd, a PBE-relaxed structure gives the simulated powder X-ray diffraction pattern in this record (a wavelength of 1.5418 Å).
Lines closer than 0.1° are merged.

The 8 most intense peaks (5 to 70 degrees two-theta), low angle first:
2θ = 18.9°, I = 357
2θ = 26.9°, I = 193
2θ = 35.1°, I = 148
2θ = 38.4°, I = 568
2θ = 40.2°, I = 1000
2θ = 43.2°, I = 83
2θ = 53.0°, I = 89
2θ = 55.5°, I = 189

Structural model:
a = 5.5898 Å, b = 5.5898 Å, c = 5.5898 Å
α = 113.85°, β = 107.28°, γ = 107.37°
Fractional coordinates of all 6 atoms:
Cd (0.2485, 0.2500, 0.4985)
Cd (0.7515, 0.7500, 0.5015)
In (0.2485, 0.7473, 0.0012)
In (0.7461, 0.2473, 0.9988)
Pd (0.7484, 0.2484, 0.5000)
Pd (0.7484, 0.7484, 0.0000)

***

3.
For Tm2Ag3Hg3, a PBE-relaxed structure gives the simulated powder X-ray diffraction pattern in this record (a wavelength of 1.5418 Å).
Lines closer than 0.1° are merged.

The 8 most intense peaks (5 to 70 degrees two-theta), low angle first:
2θ = 21.0°, I = 9
2θ = 22.0°, I = 27
2θ = 25.5°, I = 17
2θ = 36.3°, I = 1000
2θ = 42.9°, I = 13
2θ = 52.3°, I = 175
2θ = 65.3°, I = 269
2θ = 65.5°, I = 88

Structural model:
a = 8.5479 Å, b = 8.5479 Å, c = 8.5479 Å
α = 33.68°, β = 33.68°, γ = 33.68°
Fractional coordinates of all 8 atoms:
Tm (0.0000, 0.0000, 0.0000)
Tm (0.4992, 0.4992, 0.4992)
Ag (0.1247, 0.1247, 0.1247)
Ag (0.2480, 0.2480, 0.2480)
Ag (0.7506, 0.7506, 0.7506)
Hg (0.3755, 0.3755, 0.3755)
Hg (0.6250, 0.6250, 0.6250)
Hg (0.8729, 0.8729, 0.8729)

***

4.
For Ce7Zn2Ir2, a PBE-relaxed structure gives the simulated powder X-ray diffraction pattern in this record (a wavelength of 1.5418 Å).
Lines closer than 0.1° are merged.

The 8 most intense peaks (5 to 70 degrees two-theta), low angle first:
2θ = 26.0°, I = 549
2θ = 27.9°, I = 439
2θ = 30.1°, I = 278
2θ = 30.5°, I = 296
2θ = 33.4°, I = 677
2θ = 35.0°, I = 370
2θ = 38.5°, I = 544
2θ = 38.9°, I = 1000

Structural model:
a = 6.6729 Å, b = 6.6729 Å, c = 6.7172 Å
α = 90.00°, β = 90.00°, γ = 106.86°
Fractional coordinates of all 11 atoms:
Ce (0.0000, 0.0000, 0.0000)
Ce (0.0000, 0.5000, 0.2841)
Ce (0.0000, 0.5000, 0.7159)
Ce (0.5000, 0.0000, 0.2841)
Ce (0.5000, 0.0000, 0.7159)
Ce (0.5000, 0.5000, 0.2925)
Ce (0.5000, 0.5000, 0.7075)
Zn (0.1531, 0.1531, 0.5000)
Zn (0.8469, 0.8469, 0.5000)
Ir (0.2897, 0.7103, 0.0000)
Ir (0.7103, 0.2897, 0.0000)

***

5.
For Ce9Sn2Hg, a PBE-relaxed structure gives the simulated powder X-ray diffraction pattern in this record (a wavelength of 1.5418 Å).
Lines closer than 0.1° are merged.

The 8 most intense peaks (5 to 70 degrees two-theta), low angle first:
2θ = 6.2°, I = 20
2θ = 32.5°, I = 1000
2θ = 37.6°, I = 336
2θ = 37.7°, I = 166
2θ = 54.3°, I = 350
2θ = 64.7°, I = 276
2θ = 64.8°, I = 136
2θ = 68.0°, I = 119

Structural model:
a = 4.7830 Å, b = 4.7830 Å, c = 14.3007 Å
α = 90.00°, β = 90.00°, γ = 90.00°
Fractional coordinates of all 12 atoms:
Ce (0.0000, 0.0000, 0.0000)
Ce (0.0000, 0.0000, 0.3303)
Ce (0.0000, 0.0000, 0.6697)
Ce (0.0000, 0.5000, 0.1679)
Ce (0.0000, 0.5000, 0.5000)
Ce (0.0000, 0.5000, 0.8321)
Ce (0.5000, 0.0000, 0.1679)
Ce (0.5000, 0.0000, 0.5000)
Ce (0.5000, 0.0000, 0.8321)
Sn (0.5000, 0.5000, 0.3332)
Sn (0.5000, 0.5000, 0.6668)
Hg (0.5000, 0.5000, 0.0000)

***

6.
For AcPa2Te6, a PBE-relaxed structure gives the simulated powder X-ray diffraction pattern in this record (a wavelength of 1.5418 Å).
Lines closer than 0.1° are merged.

The 8 most intense peaks (5 to 70 degrees two-theta), low angle first:
2θ = 16.6°, I = 759
2θ = 17.3°, I = 691
2θ = 22.6°, I = 634
2θ = 27.9°, I = 470
2θ = 30.1°, I = 1000
2θ = 33.3°, I = 650
2θ = 35.0°, I = 808
2θ = 36.4°, I = 401

Structural model:
a = 8.1078 Å, b = 8.1078 Å, c = 10.3316 Å
α = 123.20°, β = 123.20°, γ = 43.02°
Fractional coordinates of all 9 atoms:
Ac (0.0000, 0.0000, 0.0000)
Pa (0.1835, 0.1835, 0.5984)
Pa (0.8165, 0.8165, 0.4016)
Te (0.0417, 0.0417, 0.7165)
Te (0.2703, 0.2703, 0.3862)
Te (0.3613, 0.3613, 0.9404)
Te (0.6387, 0.6387, 0.0596)
Te (0.7297, 0.7297, 0.6138)
Te (0.9583, 0.9583, 0.2835)

***

7.
For Li2Er2PaN4, a PBE-relaxed structure gives the simulated powder X-ray diffraction pattern in this record (a wavelength of 1.5418 Å).
Lines closer than 0.1° are merged.

The 8 most intense peaks (5 to 70 degrees two-theta), low angle first:
2θ = 25.9°, I = 587
2θ = 27.7°, I = 1000
2θ = 30.1°, I = 652
2θ = 30.6°, I = 388
2θ = 32.1°, I = 342
2θ = 35.7°, I = 635
2θ = 40.7°, I = 727
2θ = 42.7°, I = 678

Structural model:
a = 6.2637 Å, b = 6.2637 Å, c = 5.9184 Å
α = 109.04°, β = 109.04°, γ = 31.15°
Fractional coordinates of all 9 atoms:
Li (0.1896, 0.1896, 0.4989)
Li (0.8104, 0.8104, 0.5011)
Er (0.3578, 0.3578, 0.9353)
Er (0.6422, 0.6422, 0.0647)
Pa (0.5000, 0.5000, 0.5000)
N (0.0290, 0.0290, 0.2552)
N (0.2871, 0.2871, 0.2645)
N (0.7129, 0.7129, 0.7355)
N (0.9710, 0.9710, 0.7448)

***

8.
For Er2Co3CuGe4, a PBE-relaxed structure gives the simulated powder X-ray diffraction pattern in this record (a wavelength of 1.5418 Å).
Lines closer than 0.1° are merged.

The 8 most intense peaks (5 to 70 degrees two-theta), low angle first:
2θ = 31.3°, I = 191
2θ = 35.4°, I = 636
2θ = 36.4°, I = 1000
2θ = 44.8°, I = 532
2θ = 51.9°, I = 270
2θ = 58.3°, I = 295
2θ = 65.3°, I = 168
2θ = 65.9°, I = 115

Structural model:
a = 4.0439 Å, b = 4.0439 Å, c = 9.7835 Å
α = 90.00°, β = 90.00°, γ = 90.00°
Fractional coordinates of all 10 atoms:
Er (0.0000, 0.5000, 0.2435)
Er (0.5000, 0.0000, 0.7565)
Co (0.0000, 0.5000, 0.8743)
Co (0.5000, 0.0000, 0.1257)
Co (0.5000, 0.5000, 0.5000)
Cu (0.0000, 0.0000, 0.5000)
Ge (0.0000, 0.0000, 0.0000)
Ge (0.0000, 0.5000, 0.6389)
Ge (0.5000, 0.0000, 0.3611)
Ge (0.5000, 0.5000, 0.0000)

***

9.
For Pm3Ho2Hg2, a PBE-relaxed structure gives the simulated powder X-ray diffraction pattern in this record (a wavelength of 1.5418 Å).
Lines closer than 0.1° are merged.

The 8 most intense peaks (5 to 70 degrees two-theta), low angle first:
2θ = 31.4°, I = 972
2θ = 32.5°, I = 1000
2θ = 34.4°, I = 317
2θ = 36.4°, I = 375
2θ = 40.2°, I = 294
2θ = 50.9°, I = 211
2θ = 55.3°, I = 341
2θ = 62.5°, I = 309

Structural model:
a = 11.8874 Å, b = 11.8874 Å, c = 3.5274 Å
α = 90.00°, β = 90.00°, γ = 156.00°
Fractional coordinates of all 7 atoms:
Pm (0.0000, 0.0000, 0.0000)
Pm (0.1430, 0.8570, 0.0000)
Pm (0.8570, 0.1430, 0.0000)
Ho (0.2905, 0.7095, 0.5000)
Ho (0.7095, 0.2905, 0.5000)
Hg (0.4288, 0.5712, 0.5000)
Hg (0.5712, 0.4288, 0.5000)

***

10.
For La5TbTl6, a PBE-relaxed structure gives the simulated powder X-ray diffraction pattern in this record (a wavelength of 1.5418 Å).
Lines closer than 0.1° are merged.

The 8 most intense peaks (5 to 70 degrees two-theta), low angle first:
2θ = 32.0°, I = 1000
2θ = 32.1°, I = 198
2θ = 45.7°, I = 75
2θ = 46.0°, I = 144
2θ = 56.9°, I = 153
2θ = 57.1°, I = 299
2θ = 66.8°, I = 92
2θ = 67.1°, I = 45

Structural model:
a = 5.5992 Å, b = 7.8966 Å, c = 9.6744 Å
α = 114.05°, β = 106.49°, γ = 90.02°
Fractional coordinates of all 12 atoms:
La (0.0000, 0.0000, 0.0000)
La (0.3255, 0.3256, 0.6507)
La (0.3372, 0.8369, 0.6738)
La (0.6628, 0.1631, 0.3262)
La (0.6745, 0.6744, 0.3493)
Tb (0.0000, 0.5000, 0.0000)
Tl (0.1617, 0.4213, 0.3232)
Tl (0.1616, 0.9018, 0.3230)
Tl (0.4990, 0.2679, 0.9999)
Tl (0.5010, 0.7321, 0.0001)
Tl (0.8384, 0.0982, 0.6770)
Tl (0.8383, 0.5787, 0.6768)

***

11.
For Tm8ZnP3Se4, a PBE-relaxed structure gives the simulated powder X-ray diffraction pattern in this record (a wavelength of 1.5418 Å).
Lines closer than 0.1° are merged.

The 8 most intense peaks (5 to 70 degrees two-theta), low angle first:
2θ = 27.0°, I = 101
2θ = 27.4°, I = 317
2θ = 31.6°, I = 1000
2θ = 45.1°, I = 355
2θ = 45.5°, I = 369
2θ = 53.7°, I = 97
2θ = 56.5°, I = 191
2θ = 66.0°, I = 114

Structural model:
a = 8.0433 Å, b = 8.0433 Å, c = 8.0433 Å
α = 59.39°, β = 59.39°, γ = 59.39°
Fractional coordinates of all 16 atoms:
Tm (0.2423, 0.2423, 0.2423)
Tm (0.2424, 0.7460, 0.7460)
Tm (0.2540, 0.2540, 0.7576)
Tm (0.2540, 0.7576, 0.2540)
Tm (0.7460, 0.2424, 0.7460)
Tm (0.7460, 0.7460, 0.2424)
Tm (0.7576, 0.2540, 0.2540)
Tm (0.7577, 0.7577, 0.7577)
Zn (0.5000, 0.5000, 0.5000)
P (0.0000, 0.0000, 0.5000)
P (0.0000, 0.5000, 0.0000)
P (0.5000, 0.0000, 0.0000)
Se (0.0000, 0.0000, 0.0000)
Se (0.0000, 0.5000, 0.5000)
Se (0.5000, 0.0000, 0.5000)
Se (0.5000, 0.5000, 0.0000)

***

12.
For LiYMg2S4, a PBE-relaxed structure gives the simulated powder X-ray diffraction pattern in this record (a wavelength of 1.5418 Å).
Lines closer than 0.1° are merged.

The 8 most intense peaks (5 to 70 degrees two-theta), low angle first:
2θ = 14.4°, I = 346
2θ = 16.8°, I = 259
2θ = 27.4°, I = 194
2θ = 33.3°, I = 1000
2θ = 34.0°, I = 467
2θ = 48.2°, I = 321
2θ = 48.5°, I = 320
2θ = 59.8°, I = 244

Structural model:
a = 6.4665 Å, b = 3.8247 Å, c = 6.5200 Å
α = 90.00°, β = 108.46°, γ = 90.00°
Fractional coordinates of all 8 atoms:
Li (0.0000, 0.0000, 0.0000)
Y (0.5000, 0.5000, 0.0000)
Mg (0.0000, 0.5000, 0.5000)
Mg (0.5000, 0.0000, 0.5000)
S (0.2419, 0.0000, 0.7436)
S (0.2539, 0.5000, 0.2660)
S (0.7461, 0.5000, 0.7340)
S (0.7581, 0.0000, 0.2564)